Diffraction record for Ac2TbGa12Co3. The powder diffractogram is calculated, not measured: it uses a DFT-relaxed cell (GGA-PBE, Alexandria) and Cu Kα X-rays.
Peak positions follow from Bragg's law for the DFT cell and can differ from measured ones.

Structural model:
Unit cell a=8.6326 b=8.6326 c=19.4850 alpha=90.00 beta=90.00 gamma=120.00
Space group R-3m (No. 166, hexagonal axes)
One atom of each set of equivalent atoms:
Ac  0.0000  0.0000  0.0904 (multiplicity 6)
Tb  0.0000  0.0000  0.5000 (multiplicity 3)
Ga  0.0707  0.5353  0.8830 (multiplicity 18)
Ga  0.0944  0.5472  0.3233 (multiplicity 18)
Co  0.0000  0.5000  0.0000 (multiplicity 9)

The 12 most intense peaks (10° ≤ 2θ ≤ 90°), in order of rising 2θ:
2θ (°)	I_rel	hkl
20.58	50	1 1 0
24.24	55	0 2 1
24.77	27	1 1 3
25.52	22	2 0 2
25.78	33	0 1 5
33.01	100	1 2 2
33.21	80	2 0 5
34.38	61	1 0 7
38.70	30	0 3 3
41.86	57	2 2 0
49.81	41	3 1 5
63.74	36	3 2 7


Diffraction record for Tl2AsBr2O2. The powder diffractogram is calculated, not measured: it uses a DFT-relaxed cell (GGA-PBE, Alexandria) and Cu Kα X-rays.
Peak positions follow from Bragg's law for the DFT cell and can differ from measured ones.

Structural model:
Unit cell a=12.838 b=4.078 c=8.066 alpha=90.00 beta=121.56 gamma=90.00
Space group C2/m (No. 12)
One atom of each set of equivalent atoms:
Tl  0.190  0.000  0.244 (multiplicity 4)
As  0.000  0.000  0.500 (multiplicity 2)
Br  0.056  0.500  0.792 (multiplicity 4)
O  0.156  0.000  0.563 (multiplicity 4)

The 12 most intense peaks (10° ≤ 2θ ≤ 90°), in order of rising 2θ:
2θ (°)	I_rel	hkl
24.50	39	1 1 -1
25.93	41	0 0 2
28.10	62	4 0 -1
28.73	100	1 1 1
32.95	37	3 1 0
33.09	70	3 1 -2
35.59	19	4 0 -3
42.11	22	1 1 -3
44.43	27	0 2 0
47.14	21	5 1 0
53.37	31	4 2 -1
55.75	19	7 1 -3


Question: Number 1 is which compound?
Answer: Ac2TbGa12Co3